[1]
Computed powder diffractogram
Compound: ZnCo2O4
Radiation: Cu Kα
Structure: the PBE+U geometry in the Materials Project
No peak broadening, texture or thermal motion is included.

Main lines, by intensity (10 to 90 degrees two-theta):
2θ 33.22, rel. 100, (0 2 -3); 2θ 37.09, rel. 29, (0 4 0); 2θ 42.69, rel. 28, (1 3 -1); 2θ 45.81, rel. 24, (1 -3 2); 2θ 64.43, rel. 18, (0 6 -3); 2θ 36.96, rel. 13, (1 1 2); 2θ 60.37, rel. 11, (-1 5 2); 2θ 63.56, rel. 11, (2 0 0); 2θ 56.70, rel. 11, (0 0 6); 2θ 57.70, rel. 10, (1 1 -5)

Structural model:
```
ZnCo2O4
1.0
2.927 0.000 0.000
0.015 9.691 0.000
0.023 0.002 9.742
Zn Co O
4 8 16
Cartesian
0.000 0.000 0.000
0.030 7.516 4.837
1.582 4.843 9.728
1.572 2.697 4.921
0.056 5.034 3.116
0.076 2.477 7.991
0.062 2.481 1.737
0.088 5.051 6.612
1.497 7.331 1.738
1.500 0.208 3.121
1.512 0.187 6.597
1.532 7.332 7.996
0.026 5.946 1.335
0.045 8.615 2.413
0.040 1.589 3.517
0.063 8.600 7.283
0.058 1.581 6.191
0.074 5.932 8.405
0.113 3.354 9.720
0.107 4.181 4.852
1.500 8.202 9.729
1.499 9.009 4.850
1.512 6.438 3.530
1.532 1.087 8.384
1.525 3.771 2.398
1.522 1.096 1.321
1.549 3.752 7.264
1.556 6.427 6.210
```

[2]
Computed powder diffractogram
Compound: ZnCo3O7
Radiation: Cu Kα
Structure: the PBE+U geometry in the Materials Project
No peak broadening, texture or thermal motion is included.

Main lines, by intensity (10 to 90 degrees two-theta):
2θ 30.32, rel. 100, (2 2 1); 2θ 17.85, rel. 62, (2 0 0); 2θ 26.06, rel. 61, (2 1 1); 2θ 25.94, rel. 39, (1 2 1); 2θ 31.48, rel. 33, (0 3 1); 2θ 53.33, rel. 28, (2 4 2); 2θ 36.42, rel. 28, (2 3 1); 2θ 25.17, rel. 25, (2 2 0); 2θ 40.04, rel. 25, (4 0 1); 2θ 54.67, rel. 20, (4 4 1)

Structural model:
```
ZnCo3O7
1.0
9.939 0.000 0.000
0.000 10.076 0.000
0.000 0.000 5.329
Zn Co O
4 12 28
Cartesian
0.576 2.519 0.608
4.393 7.557 3.273
5.546 2.519 2.057
9.363 7.557 4.721
1.851 5.334 3.776
1.851 9.780 3.776
2.329 7.557 1.092
2.640 2.519 3.757
3.118 0.296 1.112
3.118 4.742 1.112
6.821 5.334 4.218
6.821 9.780 4.218
7.299 7.557 1.573
7.610 2.519 4.237
8.088 0.296 1.553
8.088 4.742 1.553
0.318 6.019 3.857
0.318 9.094 3.857
0.667 7.557 1.055
2.039 1.236 5.042
2.039 3.802 5.042
2.167 1.162 2.556
2.167 3.876 2.556
2.803 6.200 5.221
2.803 8.914 5.221
2.930 6.274 2.378
2.930 8.840 2.378
4.303 2.519 3.720
4.651 0.981 1.193
4.651 4.057 1.193
5.288 6.019 4.137
5.288 9.094 4.137
5.636 7.557 1.610
7.009 1.236 2.952
7.009 3.802 2.952
7.136 1.162 0.109
7.136 3.876 0.109
7.772 6.200 2.773
7.772 8.914 2.773
7.900 6.274 0.287
7.900 8.840 0.287
9.272 2.519 4.274
9.621 0.981 1.472
9.621 4.057 1.472
```